Diffraction record for NaSmMn4O12. The powder diffractogram is calculated, not measured: it uses a structure optimized by DFT (PBE+U) and CuKα.
Peak positions follow from Bragg's law for the DFT cell and can differ from measured ones.

Crystal structure
Cell lengths 5.3279, 5.3279, 7.7698 Å; angles 90.00, 90.00, 90.00 degrees
Fractional positions:
Na 0.0000 0.0000 0.0000
Sm 0.5000 0.5000 0.5000
Mn 0.0000 0.5000 0.2390
Mn 0.0000 0.5000 0.7610
Mn 0.5000 0.0000 0.2390
Mn 0.5000 0.0000 0.7610
O 0.0000 0.5000 0.0000
O 0.0000 0.5000 0.5000
O 0.2590 0.2590 0.2725
O 0.2590 0.2590 0.7275
O 0.2590 0.7410 0.2725
O 0.2590 0.7410 0.7275
O 0.5000 0.0000 0.0000
O 0.5000 0.0000 0.5000
O 0.7410 0.2590 0.2725
O 0.7410 0.2590 0.7275
O 0.7410 0.7410 0.2725
O 0.7410 0.7410 0.7275

Largest 8 diffraction maxima, sorted by position, 10° ≤ 2θ ≤ 80°:
Position (°2θ)  Rel. int.
11.39  47
16.64  44
20.21  98
33.12  100
33.64  49
39.56  34
48.32  51
59.83  36

=====

Diffraction record for Sm2Fe2Se2O3. The powder diffractogram is calculated, not measured: it uses a structure optimized by DFT (PBE+U) and CuKα.
Peak positions follow from Bragg's law for the DFT cell and can differ from measured ones.

Crystal structure
Cell lengths 9.8221, 9.8221, 9.8221 Å; angles 156.18, 156.18, 33.94 degrees
Fractional positions:
Sm 0.1897 0.1897 0.0000
Sm 0.8103 0.8103 0.0000
Fe 0.0000 0.5000 0.5000
Fe 0.5000 0.0000 0.5000
Se 0.3994 0.3994 0.0000
Se 0.6006 0.6006 0.0000
O 0.0000 0.0000 0.0000
O 0.2500 0.7500 0.5000
O 0.7500 0.2500 0.5000

Largest 8 diffraction maxima, sorted by position, 10° ≤ 2θ ≤ 80°:
Position (°2θ)  Rel. int.
26.18  34
31.20  27
32.49  100
32.65  26
36.72  21
44.70  37
50.21  19
56.33  41

=====

Diffraction record for MgFe3Ni2SbP6O24. The powder diffractogram is calculated, not measured: it uses a structure optimized by DFT (PBE+U) and CuKα.
Peak positions follow from Bragg's law for the DFT cell and can differ from measured ones.

Crystal structure
Cell lengths 8.6989, 8.6989, 8.6989 Å; angles 59.99, 59.99, 59.99 degrees
Fractional positions:
Mg 0.0000 0.0000 0.0000
Fe 0.1219 0.1219 0.1219
Fe 0.6024 0.6024 0.6024
Fe 0.8773 0.8773 0.8773
Ni 0.2505 0.2505 0.2505
Ni 0.7443 0.7443 0.7443
Sb 0.3964 0.3964 0.3964
P 0.2072 0.7923 0.5044
P 0.3037 0.7033 0.9965
P 0.5044 0.2072 0.7923
P 0.7033 0.9965 0.3037
P 0.7923 0.5044 0.2072
P 0.9965 0.3037 0.7033
O 0.0059 0.7964 0.6417
O 0.0502 0.2550 0.8692
O 0.1341 0.7442 0.9523
O 0.1669 0.3181 0.5047
O 0.2114 0.9881 0.3537
O 0.2550 0.8692 0.0502
O 0.2683 0.6546 0.3994
O 0.3181 0.5047 0.1669
O 0.3456 0.7182 0.6031
O 0.3537 0.2114 0.9881
O 0.3994 0.2683 0.6546
O 0.4990 0.6731 0.8427
O 0.5047 0.1669 0.3181
O 0.6031 0.3456 0.7182
O 0.6417 0.0059 0.7964
O 0.6546 0.3994 0.2683
O 0.6731 0.8427 0.4990
O 0.7182 0.6031 0.3456
O 0.7442 0.9523 0.1341
O 0.7964 0.6417 0.0059
O 0.8427 0.4990 0.6731
O 0.8692 0.0502 0.2550
O 0.9523 0.1341 0.7442
O 0.9881 0.3537 0.2114

Largest 8 diffraction maxima, sorted by position, 10° ≤ 2θ ≤ 80°:
Position (°2θ)  Rel. int.
20.42  100
23.99  69
32.55  42
35.76  46
41.53  16
46.70  31
49.13  17
55.94  40

=====

Diffraction record for Li9Mn7O16. The powder diffractogram is calculated, not measured: it uses a structure optimized by DFT (PBE+U) and CuKα.
Peak positions follow from Bragg's law for the DFT cell and can differ from measured ones.

Crystal structure
Cell lengths 5.0478, 6.0567, 9.9425 Å; angles 101.66, 92.78, 93.02 degrees
Fractional positions:
Li 0.0000 0.0000 0.0000
Li 0.1213 0.6955 0.7555
Li 0.1218 0.1841 0.7533
Li 0.3702 0.5641 0.2467
Li 0.3710 0.0580 0.2479
Li 0.6290 0.9420 0.7521
Li 0.6298 0.4359 0.7533
Li 0.8782 0.8159 0.2467
Li 0.8787 0.3045 0.2445
Mn 0.0000 0.5000 0.0000
Mn 0.2502 0.3751 0.4999
Mn 0.2501 0.8748 0.5006
Mn 0.4993 0.7583 0.9993
Mn 0.5007 0.2417 0.0007
Mn 0.7499 0.1252 0.4994
Mn 0.7498 0.6249 0.5001
O 0.0529 0.1113 0.3810
O 0.0527 0.6128 0.3837
O 0.1839 0.3030 0.1053
O 0.1927 0.7639 0.1133
O 0.3069 0.4786 0.8887
O 0.3384 0.9715 0.8845
O 0.4461 0.1384 0.6166
O 0.4478 0.6380 0.6172
O 0.5522 0.3620 0.3828
O 0.5539 0.8616 0.3834
O 0.6616 0.0285 0.1155
O 0.6931 0.5214 0.1113
O 0.8073 0.2361 0.8867
O 0.8161 0.6970 0.8947
O 0.9473 0.3872 0.6163
O 0.9471 0.8887 0.6190

Largest 8 diffraction maxima, sorted by position, 10° ≤ 2θ ≤ 80°:
Position (°2θ)  Rel. int.
18.26  100
34.00  18
36.18  12
36.34  13
40.85  36
44.21  55
58.22  9
61.41  8

=====

Diffraction record for Li9Mn2Co5O16. The powder diffractogram is calculated, not measured: it uses a structure optimized by DFT (PBE+U) and CuKα.
Peak positions follow from Bragg's law for the DFT cell and can differ from measured ones.

Crystal structure
Cell lengths 2.9514, 5.0885, 19.9131 Å; angles 92.27, 92.62, 104.26 degrees
Fractional positions:
Li 0.0000 0.0000 0.0000
Li 0.0513 0.2928 0.8158
Li 0.1715 0.9257 0.4381
Li 0.2655 0.5383 0.0573
Li 0.4224 0.1746 0.6884
Li 0.5461 0.7944 0.3136
Li 0.6777 0.4123 0.9402
Li 0.7994 0.0438 0.5655
Li 0.9335 0.6821 0.1878
Mn 0.4759 0.4831 0.5028
Mn 0.6086 0.1156 0.1201
Co 0.1204 0.6128 0.6271
Co 0.2275 0.2320 0.2498
Co 0.3629 0.8572 0.8818
Co 0.7440 0.7353 0.7525
Co 0.8541 0.3537 0.3759
O 0.0324 0.1128 0.9036
O 0.0951 0.4760 0.7162
O 0.1582 0.7508 0.5367
O 0.2085 0.0966 0.3449
O 0.2268 0.3607 0.1539
O 0.3243 0.7087 0.9591
O 0.3848 0.9896 0.7872
O 0.4350 0.3481 0.5939
O 0.5030 0.6175 0.4096
O 0.5723 0.9762 0.2166
O 0.6438 0.2654 0.0380
O 0.6829 0.5997 0.8429
O 0.7952 0.2158 0.4696
O 0.7995 0.8725 0.6595
O 0.8871 0.4948 0.2820
O 0.9950 0.8697 0.0979

Largest 8 diffraction maxima, sorted by position, 10° ≤ 2θ ≤ 80°:
Position (°2θ)  Rel. int.
18.33  100
34.92  17
36.17  12
36.53  13
41.94  32
44.07  26
44.38  27
62.36  15

=====

Diffraction record for Li4Cr3NiO8. The powder diffractogram is calculated, not measured: it uses a structure optimized by DFT (PBE+U) and CuKα.
Peak positions follow from Bragg's law for the DFT cell and can differ from measured ones.

Crystal structure
Cell lengths 5.1264, 5.8907, 10.6223 Å; angles 105.96, 94.54, 106.91 degrees
Fractional positions:
Li 0.0000 0.0000 0.0000
Li 0.9996 0.2499 0.5000
Li 0.0000 0.5000 0.0000
Li 0.0004 0.7501 0.5000
Li 0.0006 0.1228 0.7542
Li 0.0040 0.6317 0.7508
Li 0.9960 0.3683 0.2492
Li 0.9994 0.8772 0.2458
Cr 0.4990 0.1869 0.6262
Cr 0.4990 0.4323 0.1224
Cr 0.4995 0.3101 0.3732
Cr 0.5005 0.6899 0.6268
Cr 0.5010 0.5677 0.8776
Cr 0.5010 0.8131 0.3738
Ni 0.4992 0.0625 0.8748
Ni 0.5008 0.9375 0.1252
O 0.2672 0.1709 0.1921
O 0.2670 0.2978 0.9435
O 0.2697 0.9070 0.6844
O 0.2757 0.0378 0.4393
O 0.2757 0.4144 0.6911
O 0.2773 0.7826 0.9357
O 0.2789 0.5390 0.4400
O 0.2793 0.6598 0.1892
O 0.7207 0.3402 0.8108
O 0.7211 0.4610 0.5600
O 0.7227 0.2174 0.0643
O 0.7243 0.5856 0.3089
O 0.7243 0.9622 0.5607
O 0.7303 0.0930 0.3156
O 0.7330 0.7022 0.0565
O 0.7328 0.8291 0.8079

Largest 8 diffraction maxima, sorted by position, 10° ≤ 2θ ≤ 80°:
Position (°2θ)  Rel. int.
18.37  100
35.69  28
35.79  14
43.32  53
43.48  26
47.47  13
62.97  21
63.14  14

=====

Diffraction record for Ba4Ta10NiO30. The powder diffractogram is calculated, not measured: it uses a structure optimized by DFT (PBE+U) and CuKα.
Peak positions follow from Bragg's law for the DFT cell and can differ from measured ones.

Crystal structure
Cell lengths 10.0374, 10.0374, 10.0374 Å; angles 133.58, 117.91, 80.95 degrees
Fractional positions:
Ba 0.0000 0.0000 0.0000
Ba 0.0013 0.5013 0.5000
Ba 0.3995 0.3995 0.0000
Ba 0.4110 0.9110 0.5000
Ta 0.0108 0.0785 0.4329
Ta 0.0108 0.5779 0.9322
Ta 0.2049 0.4545 0.2496
Ta 0.2049 0.9553 0.7504
Ta 0.3906 0.3282 0.5677
Ta 0.3906 0.8229 0.0624
Ta 0.6457 0.0785 0.0678
Ta 0.6457 0.5779 0.5671
Ta 0.7606 0.3282 0.9376
Ta 0.7606 0.8229 0.4323
Ni 0.6761 0.1761 0.5000
O 0.0078 0.8317 0.1761
O 0.0351 0.3512 0.6840
O 0.1700 0.0467 0.6153
O 0.1700 0.5546 0.1233
O 0.1984 0.6984 0.5000
O 0.2100 0.1915 0.4868
O 0.2100 0.7232 0.0185
O 0.2114 0.2114 0.0000
O 0.2427 0.3476 0.3679
O 0.2427 0.8747 0.8951
O 0.3885 0.5808 0.8077
O 0.4313 0.0467 0.8767
O 0.4309 0.0758 0.3550
O 0.4313 0.5546 0.3847
O 0.5353 0.3109 0.7755
O 0.5353 0.7598 0.2245
O 0.5723 0.4224 0.5814
O 0.5723 0.9910 0.1499
O 0.6556 0.8317 0.8239
O 0.6672 0.3512 0.3160
O 0.7047 0.1915 0.9815
O 0.7047 0.7232 0.5132
O 0.7208 0.0758 0.6450
O 0.7731 0.5808 0.1923
O 0.8411 0.4224 0.8501
O 0.8411 0.9910 0.4186
O 0.8773 0.1276 0.2503
O 0.8773 0.6271 0.7497
O 0.9796 0.3476 0.1049
O 0.9796 0.8747 0.6321

Largest 8 diffraction maxima, sorted by position, 10° ≤ 2θ ≤ 80°:
Position (°2θ)  Rel. int.
22.47  65
26.48  100
28.39  55
29.06  92
29.88  95
35.00  49
45.88  44
53.07  60